For Li2CoSi4O10, a GGA+U-relaxed structure gives the calculated powder X-ray diffraction pattern in this record (Cu Kα (weighted mean of Kα1 and Kα2)).
Neutral-atom scattering factors, no anomalous dispersion.

Structural model:
abc: 6.8174 7.6918 9.5657
angles: 102.96 102.02 114.86
Positions (direct):
1 Li 0.1669 0.2729 0.4483
2 Li 0.2678 0.7337 0.9576
3 Li 0.7322 0.2663 0.0424
4 Li 0.8331 0.7271 0.5517
5 Co 0.2878 0.1839 0.0826
6 Co 0.7122 0.8161 0.9174
7 Si 0.1502 0.8466 0.2214
8 Si 0.2742 0.1385 0.7331
9 Si 0.3031 0.5643 0.3187
10 Si 0.3570 0.7927 0.6465
11 Si 0.6430 0.2073 0.3535
12 Si 0.6969 0.4357 0.6813
13 Si 0.7258 0.8615 0.2669
14 Si 0.8498 0.1534 0.7786
15 O 0.0372 0.1518 0.6969
16 O 0.1063 0.8773 0.0583
17 O 0.1498 0.6265 0.2022
18 O 0.1829 0.8939 0.6325
19 O 0.2287 0.3271 0.2575
20 O 0.2586 0.6001 0.4848
21 O 0.3799 0.7261 0.7926
22 O 0.3977 0.0279 0.3486
23 O 0.4130 0.2055 0.9101
24 O 0.4187 0.2830 0.6447
25 O 0.5813 0.7170 0.3553
26 O 0.5870 0.7945 0.0899
27 O 0.6023 0.9721 0.6514
28 O 0.6201 0.2739 0.2074
29 O 0.7414 0.3999 0.5152
30 O 0.7713 0.6729 0.7425
31 O 0.8171 0.1061 0.3675
32 O 0.8502 0.3735 0.7978
33 O 0.8937 0.1227 0.9417
34 O 0.9628 0.8482 0.3031

Largest 8 diffraction maxima, sorted by position, 10 to 90 degrees two-theta:
d 6.534, I = 67; d 4.380, I = 48; d 3.888, I = 100; d 3.735, I = 44; d 3.267, I = 42; d 3.101, I = 50; d 2.913, I = 41; d 2.905, I = 59

***

For LiCoSiO4, a GGA+U-relaxed structure gives the calculated powder X-ray diffraction pattern in this record (Cu Kα (weighted mean of Kα1 and Kα2)).
Neutral-atom scattering factors, no anomalous dispersion.

Structural model:
abc: 11.1402 5.0383 6.0543
angles: 90.00 90.00 90.00
Positions (direct):
1 Li 0.0778 0.1709 0.0000
2 Li 0.4222 0.6709 0.5000
3 Li 0.5778 0.3291 0.0000
4 Li 0.9222 0.8291 0.5000
5 Co 0.1670 0.6710 0.7447
6 Co 0.3330 0.1710 0.2447
7 Co 0.6670 0.8290 0.7447
8 Co 0.8330 0.3290 0.2447
9 Si 0.1728 0.6693 0.2477
10 Si 0.3272 0.1693 0.7477
11 Si 0.6728 0.8307 0.2477
12 Si 0.8272 0.3307 0.7477
13 O 0.0930 0.7375 0.4720
14 O 0.1067 0.7807 0.0215
15 O 0.1843 0.3439 0.2297
16 O 0.1919 0.3028 0.7688
17 O 0.3081 0.8028 0.2688
18 O 0.3157 0.8439 0.7297
19 O 0.3933 0.2807 0.5215
20 O 0.4070 0.2375 0.9720
21 O 0.5930 0.7625 0.4720
22 O 0.6067 0.7193 0.0215
23 O 0.6843 0.1561 0.2297
24 O 0.6919 0.1972 0.7688
25 O 0.8081 0.6972 0.2688
26 O 0.8157 0.6561 0.7297
27 O 0.8933 0.2193 0.5215
28 O 0.9070 0.2625 0.9720

Largest 8 diffraction maxima, sorted by position, 10 to 90 degrees two-theta:
d 5.570, I = 82; d 3.737, I = 100; d 3.027, I = 37; d 2.989, I = 31; d 2.660, I = 48; d 2.519, I = 31; d 2.127, I = 23; d 1.583, I = 24

***

For LiCoSi2O6, a GGA+U-relaxed structure gives the calculated powder X-ray diffraction pattern in this record (Cu Kα (weighted mean of Kα1 and Kα2)).
Neutral-atom scattering factors, no anomalous dispersion.

Structural model:
abc: 5.1918 5.1918 10.4313
angles: 103.72 103.72 89.49
Positions (direct):
1 Li 0.1031 0.8969 0.5000
2 Li 0.8969 0.1031 0.0000
3 Co 0.0153 0.2826 0.3259
4 Co 0.2826 0.0153 0.8259
5 Si 0.2484 0.5957 0.9991
6 Si 0.5957 0.2484 0.4991
7 Si 0.6992 0.8361 0.6702
8 Si 0.8361 0.6992 0.1702
9 O 0.0123 0.8677 0.6710
10 O 0.2056 0.8879 0.9665
11 O 0.2441 0.3718 0.8606
12 O 0.3718 0.2441 0.3606
13 O 0.5186 0.9993 0.5620
14 O 0.5253 0.5931 0.1136
15 O 0.5931 0.5253 0.6136
16 O 0.6377 0.9543 0.8198
17 O 0.8677 0.0123 0.1710
18 O 0.8879 0.2056 0.4665
19 O 0.9543 0.6377 0.3198
20 O 0.9993 0.5186 0.0620

Largest 8 diffraction maxima, sorted by position, 10 to 90 degrees two-theta:
d 4.099, I = 100; d 4.041, I = 83; d 3.428, I = 13; d 3.113, I = 10; d 2.596, I = 43; d 2.457, I = 9; d 2.425, I = 10; d 2.298, I = 10